Starting from a crystal structure in OQMD, relaxed with GGA-PBE, the X-ray diffraction stick pattern of FeCuGeOs was calculated for CuKα.

Largest 10 diffraction maxima, by angle, 10 to 90 degrees two-theta:
| 2theta | I_rel | index |
| --- | --- | --- |
| 25.9 | 23 | 1 1 1 |
| 30.0 | 13 | 2 0 0 |
| 42.9 | 100 | 2 2 0 |
| 50.7 | 12 | 3 1 1 |
| 53.2 | 4 | 2 2 2 |
| 62.2 | 16 | 4 0 0 |
| 68.6 | 5 | 3 3 1 |
| 70.6 | 5 | 4 2 0 |
| 78.5 | 32 | 4 2 2 |
| 84.3 | 4 | 5 1 1 |

Crystal structure
Lattice parameters (Å, degrees): 5.9667 5.9667 5.9667 90.00 90.00 90.00
Space group F-43m (No. 216)
Symmetry-distinct sites (fractional):
Fe  0.0000  0.0000  0.0000 [4 per cell]
Cu  0.2500  0.2500  0.7500 [4 per cell]
Ge  0.0000  0.0000  0.5000 [4 per cell]
Os  0.2500  0.2500  0.2500 [4 per cell]

Starting from a crystal structure in OQMD, relaxed with GGA-PBE, the X-ray diffraction stick pattern of FeCuGeW was calculated for CuKα.

Largest 10 diffraction maxima, by angle, 10 to 90 degrees two-theta:
| 2theta | I_rel | index |
| --- | --- | --- |
| 25.7 | 25 | 1 1 1 |
| 29.8 | 8 | 2 0 0 |
| 42.7 | 100 | 2 2 0 |
| 50.5 | 13 | 3 1 1 |
| 52.9 | 2 | 2 2 2 |
| 61.9 | 16 | 4 0 0 |
| 68.2 | 6 | 3 3 1 |
| 70.2 | 3 | 4 2 0 |
| 78.1 | 32 | 4 2 2 |
| 83.8 | 4 | 5 1 1 |

Crystal structure
Lattice parameters (Å, degrees): 5.9956 5.9956 5.9956 90.00 90.00 90.00
Space group F-43m (No. 216)
Symmetry-distinct sites (fractional):
Fe  0.0000  0.0000  0.0000 [4 per cell]
Cu  0.2500  0.2500  0.2500 [4 per cell]
Ge  0.2500  0.2500  0.7500 [4 per cell]
W  0.0000  0.0000  0.5000 [4 per cell]

Starting from a crystal structure in OQMD, relaxed with GGA-PBE, the X-ray diffraction stick pattern of ZnFeCu4Ge2 was calculated for CuKα.

Largest 6 diffraction maxima, by angle, 10 to 90 degrees two-theta:
| 2theta | I_rel | index |
| --- | --- | --- |
| 42.5 | 100 | 1 1 2 |
| 43.9 | 45 | 2 0 0 |
| 59.4 | 9 | 0 0 4 |
| 63.8 | 14 | 2 2 0 |
| 76.7 | 16 | 2 0 4 |
| 79.6 | 28 | 3 1 2 |

Crystal structure
Lattice parameters (Å, degrees): 4.1283 4.1283 6.2220 90.00 90.00 90.00
Space group P4/mmm (No. 123)
Symmetry-distinct sites (fractional):
Zn  0.0000  0.0000  0.0000 [1 per cell]
Fe  0.5000  0.5000  0.5000 [1 per cell]
Cu  0.0000  0.5000  0.2523 [4 per cell]
Ge  0.0000  0.0000  0.5000 [1 per cell]
Ge  0.5000  0.5000  0.0000 [1 per cell]

Starting from a crystal structure in OQMD, relaxed with GGA-PBE, the X-ray diffraction stick pattern of InFeCuTeS2 was calculated for CuKα.

Largest 10 diffraction maxima, by angle, 10 to 90 degrees two-theta:
| 2theta | I_rel | index |
| --- | --- | --- |
| 12.2 | 23 | 0 2 0 |
| 17.9 | 41 | 0 0 2 |
| 33.2 | 100 | 1 3 1 |
| 36.2 | 36 | 0 0 4 |
| 36.8 | 23 | 1 3 2 |
| 41.5 | 19 | 0 6 2 |
| 42.2 | 37 | 1 3 3 |
| 53.1 | 13 | 2 0 0 |
| 54.9 | 13 | 1 7 2 |
| 56.8 | 26 | 1 3 5 |

Crystal structure
Lattice parameters (Å, degrees): 3.4486 14.5114 9.9169 90.00 90.00 90.00
Space group Cmcm (No. 63)
Symmetry-distinct sites (fractional):
In  0.0000  0.2257  0.2500 [4 per cell]
Fe  0.0000  0.0000  0.0000 [4 per cell]
Cu  0.0000  0.4349  0.7500 [4 per cell]
Te  0.0000  0.0761  0.7500 [4 per cell]
S  0.0000  0.3966  0.5316 [8 per cell]

Starting from a crystal structure in OQMD, relaxed with GGA-PBE, the X-ray diffraction stick pattern of La3Fe2Cu2Si4 was calculated for CuKα.

Largest 10 diffraction maxima, by angle, 10 to 90 degrees two-theta:
| 2theta | I_rel | index |
| --- | --- | --- |
| 24.3 | 20 | 1 0 3 |
| 28.4 | 11 | 0 1 5 |
| 34.0 | 100 | 1 1 4 |
| 40.5 | 20 | 1 0 9 |
| 43.3 | 20 | 0 2 0 |
| 43.8 | 17 | 2 0 0 |
| 56.5 | 13 | 2 1 7 |
| 60.8 | 12 | 1 2 9 |
| 63.2 | 11 | 2 2 0 |
| 71.0 | 11 | 1 1 16 |

Crystal structure
Lattice parameters (Å, degrees): 4.1367 4.1807 23.8014 90.00 90.00 90.00
Space group Immm (No. 71)
Symmetry-distinct sites (fractional):
La  0.0000  0.0000  0.0000 [2 per cell]
La  0.0000  0.5000  0.3468 [4 per cell]
Fe  0.0000  0.0000  0.2490 [4 per cell]
Cu  0.0000  0.5000  0.1001 [4 per cell]
Si  0.0000  0.0000  0.4492 [4 per cell]
Si  0.0000  0.5000  0.2053 [4 per cell]

Starting from a crystal structure in OQMD, relaxed with GGA-PBE, the X-ray diffraction stick pattern of LiFeCu was calculated for CuKα.

Largest 10 diffraction maxima, by angle, 10 to 90 degrees two-theta:
| 2theta | I_rel | index |
| --- | --- | --- |
| 20.9 | 62 | 0 0 1 |
| 24.8 | 35 | 1 1 0 |
| 27.4 | 18 | 1 1 -1 |
| 42.3 | 28 | 1 3 0 |
| 42.5 | 56 | 0 0 2 |
| 44.0 | 100 | 1 3 -1 |
| 44.3 | 49 | 2 0 0 |
| 50.7 | 32 | 2 0 -2 |
| 51.0 | 63 | 1 3 1 |
| 73.4 | 19 | 1 3 -3 |

Crystal structure
Lattice parameters (Å, degrees): 4.3327 7.5222 4.5112 90.00 109.26 90.00
Space group C2 (No. 5)
Symmetry-distinct sites (fractional):
Li  0.0000  0.0000  0.0000 [2 per cell]
Li  0.0000  0.3385  0.0000 [2 per cell]
Fe  0.0000  0.1764  0.5000 [2 per cell]
Fe  0.0000  0.5163  0.5000 [2 per cell]
Cu  0.0000  0.6706  0.0000 [2 per cell]
Cu  0.0000  0.8425  0.5000 [2 per cell]